Structure and simulated powder diffraction line list of Li2TlIn (a DFT-relaxed cell (GGA-PBE, the Materials Project); Cu Kα).
Lines closer than 0.1° are merged.

Atomic structure:
```
4
Lattice="0.000 3.429 3.429 3.429 0.000 3.429 3.429 3.429 0.000" Properties=species:S:1:pos:R:3 pbc="T T T"
Li 1.715 1.715 1.715
Li 5.144 5.144 5.144
Tl 0.000 0.000 0.000
In 3.429 3.429 3.429
```

Peak list (10 most intense, 10 to 80 degrees two-theta, in order of falling intensity)
2theta, I (rel.)
25.98, 1000
37.08, 905
60.36, 384
66.83, 322
45.84, 292
53.44, 158
22.45, 132
78.97, 101
43.78, 75
58.68, 34

Structure and simulated powder diffraction line list of PmNdZn2 (a DFT-relaxed cell (GGA-PBE, the Materials Project); Cu Kα).
Lines closer than 0.1° are merged.

Atomic structure:
```
4
Lattice="0.000 3.668 3.668 3.668 0.000 3.668 3.668 3.668 0.000" Properties=species:S:1:pos:R:3 pbc="T T T"
Pm 0.000 0.000 0.000
Nd 3.668 3.668 3.668
Zn 1.834 1.834 1.834
Zn 5.501 5.501 5.501
```

Peak list (8 most intense, 10 to 80 degrees two-theta, in order of falling intensity)
2theta, I (rel.)
34.59, 1000
61.98, 360
49.72, 177
24.27, 143
72.96, 110
56.07, 61
42.70, 44
78.19, 31

Copy entry 1 word for word.
Structure and simulated powder diffraction line list of Li2TlIn (a DFT-relaxed cell (GGA-PBE, the Materials Project); Cu Kα).
Lines closer than 0.1° are merged.

Atomic structure:
```
4
Lattice="0.000 3.429 3.429 3.429 0.000 3.429 3.429 3.429 0.000" Properties=species:S:1:pos:R:3 pbc="T T T"
Li 1.715 1.715 1.715
Li 5.144 5.144 5.144
Tl 0.000 0.000 0.000
In 3.429 3.429 3.429
```

Peak list (10 most intense, 10 to 80 degrees two-theta, in order of falling intensity)
2theta, I (rel.)
25.98, 1000
37.08, 905
60.36, 384
66.83, 322
45.84, 292
53.44, 158
22.45, 132
78.97, 101
43.78, 75
58.68, 34